Diffraction record for CeSc2Ir. The powder XRD pattern is calculated, not measured: it uses a structure optimized by DFT (GGA-PBE) and Cu Kα (λ = 1.5418 Å).

Structure:
Lattice parameters (Å, degrees): 4.6214 4.6214 16.0677 90.00 90.00 120.00
Space group R3m (No. 160, hexagonal axes)
Symmetry-distinct sites (fractional):
Ce (0.0000, 0.0000, 0.0000) [3 per cell]
Sc (0.0000, 0.0000, 0.2129) [3 per cell]
Sc (0.0000, 0.0000, 0.4492) [3 per cell]
Ir (0.0000, 0.0000, 0.8247) [3 per cell]

Principal peaks in the range 2θ = 10–90°, by angle:
Position (°2θ), Rel. int., (hkl)
16.55, 17, 0 0 3
22.90, 100, 1 0 1
24.85, 44, 0 1 2
31.56, 23, 1 0 4
33.46, 24, 0 0 6
35.84, 91, 0 1 5
38.98, 91, 1 1 0
52.29, 41, 1 1 6
53.98, 28, 2 0 5
68.56, 27, 1 2 5